No. 1
Starting from a PBE-relaxed structure, the X-ray powder pattern of Sm3P6Pd20 was computed for copper Kα.
Neutral-atom scattering factors, no anomalous dispersion.

The 10 most intense peaks (2θ from 5° to 70°), sorted by position:
32.48 deg, rel. 23
35.68 deg, rel. 32
37.92 deg, rel. 100
41.43 deg, rel. 32
43.43 deg, rel. 23
44.08 deg, rel. 9
49.02 deg, rel. 12
62.09 deg, rel. 8
64.10 deg, rel. 29
65.58 deg, rel. 14

Structural model:
a b c (Å): 8.7170 8.7170 8.7170
angles (deg): 60.00 60.00 60.00
Fractional coordinates of all 29 atoms:
Sm (0.0000, 0.0000, 0.0000)
Sm (0.2500, 0.2500, 0.2500)
Sm (0.7500, 0.7500, 0.7500)
P (0.2627, 0.2627, 0.7373)
P (0.2627, 0.7373, 0.2627)
P (0.2627, 0.7373, 0.7373)
P (0.7373, 0.2627, 0.2627)
P (0.7373, 0.2627, 0.7373)
P (0.7373, 0.7373, 0.2627)
Pd (0.0000, 0.0000, 0.3463)
Pd (0.0000, 0.0000, 0.6537)
Pd (0.0000, 0.3463, 0.0000)
Pd (0.0000, 0.3463, 0.6537)
Pd (0.0000, 0.6537, 0.0000)
Pd (0.0000, 0.6537, 0.3463)
Pd (0.1564, 0.6145, 0.6145)
Pd (0.3463, 0.0000, 0.0000)
Pd (0.3463, 0.0000, 0.6537)
Pd (0.3463, 0.6537, 0.0000)
Pd (0.3855, 0.3855, 0.3855)
Pd (0.3855, 0.3855, 0.8436)
Pd (0.3855, 0.8436, 0.3855)
Pd (0.6145, 0.1564, 0.6145)
Pd (0.6145, 0.6145, 0.1564)
Pd (0.6145, 0.6145, 0.6145)
Pd (0.6537, 0.0000, 0.0000)
Pd (0.6537, 0.0000, 0.3463)
Pd (0.6537, 0.3463, 0.0000)
Pd (0.8436, 0.3855, 0.3855)

***

No. 2
Starting from a PBE-relaxed structure, the X-ray powder pattern of SmTe2P2Pd7 was computed for copper Kα.
Neutral-atom scattering factors, no anomalous dispersion.

The 10 most intense peaks (2θ from 5° to 70°), sorted by position:
26.05 deg, rel. 26
30.46 deg, rel. 84
31.48 deg, rel. 27
34.81 deg, rel. 48
35.28 deg, rel. 53
37.04 deg, rel. 48
39.45 deg, rel. 60
40.50 deg, rel. 100
53.06 deg, rel. 43
62.34 deg, rel. 26

Structural model:
a b c (Å): 4.5435 4.5435 11.4456
angles (deg): 92.46 92.46 97.66
Fractional coordinates of all 12 atoms:
Sm (0.0000, 0.0000, 0.0000)
Te (0.1697, 0.1697, 0.3866)
Te (0.8303, 0.8303, 0.6135)
P (0.3128, 0.3128, 0.8168)
P (0.6872, 0.6872, 0.1832)
Pd (0.1635, 0.5703, 0.2172)
Pd (0.3478, 0.3478, 0.6078)
Pd (0.4297, 0.8365, 0.7828)
Pd (0.5000, 0.5000, 0.0000)
Pd (0.5703, 0.1635, 0.2172)
Pd (0.6522, 0.6522, 0.3922)
Pd (0.8365, 0.4297, 0.7828)

***

No. 3
Starting from a PBE-relaxed structure, the X-ray powder pattern of Sn3P2Pd was computed for copper Kα.
Neutral-atom scattering factors, no anomalous dispersion.

The 10 most intense peaks (2θ from 5° to 70°), sorted by position:
25.18 deg, rel. 100
26.44 deg, rel. 93
31.22 deg, rel. 13
41.80 deg, rel. 96
43.15 deg, rel. 20
46.27 deg, rel. 18
46.74 deg, rel. 19
47.48 deg, rel. 18
51.32 deg, rel. 32
53.40 deg, rel. 26

Structural model:
a b c (Å): 3.9244 12.5793 6.5806
angles (deg): 90.00 90.00 90.00
Fractional coordinates of all 12 atoms:
Sn (0.0000, 0.0000, 0.0000)
Sn (0.0000, 0.3446, 0.9780)
Sn (0.0000, 0.6554, 0.9780)
Sn (0.5000, 0.1554, 0.4780)
Sn (0.5000, 0.5000, 0.5000)
Sn (0.5000, 0.8446, 0.4780)
P (0.0000, 0.1753, 0.2223)
P (0.0000, 0.8247, 0.2223)
P (0.5000, 0.3247, 0.7223)
P (0.5000, 0.6753, 0.7223)
Pd (0.0000, 0.5000, 0.2393)
Pd (0.5000, 0.0000, 0.7393)

***

No. 4
Starting from a PBE-relaxed structure, the X-ray powder pattern of SnTe2P2Pd7 was computed for copper Kα.
Neutral-atom scattering factors, no anomalous dispersion.

The 10 most intense peaks (2θ from 5° to 70°), sorted by position:
6.10 deg, rel. 38
12.22 deg, rel. 36
30.86 deg, rel. 35
32.52 deg, rel. 49
34.28 deg, rel. 55
37.07 deg, rel. 100
44.98 deg, rel. 60
45.75 deg, rel. 78
49.83 deg, rel. 25
65.14 deg, rel. 29

Structural model:
a b c (Å): 3.9666 3.9666 14.7541
angles (deg): 97.67 97.67 90.00
Fractional coordinates of all 12 atoms:
Sn (0.0000, 0.0000, 0.0000)
Te (0.2079, 0.2079, 0.4168)
Te (0.7921, 0.7921, 0.5832)
P (0.3828, 0.3828, 0.7636)
P (0.6172, 0.6172, 0.2364)
Pd (0.0730, 0.5730, 0.1474)
Pd (0.3028, 0.3028, 0.6043)
Pd (0.4270, 0.9270, 0.8526)
Pd (0.5000, 0.5000, 0.0000)
Pd (0.5730, 0.0730, 0.1474)
Pd (0.6972, 0.6972, 0.3957)
Pd (0.9270, 0.4270, 0.8526)

***

No. 5
Starting from a PBE-relaxed structure, the X-ray powder pattern of Sr4PPd3 was computed for copper Kα.
Neutral-atom scattering factors, no anomalous dispersion.

The 10 most intense peaks (2θ from 5° to 70°), sorted by position:
15.78 deg, rel. 23
29.51 deg, rel. 100
31.32 deg, rel. 47
37.36 deg, rel. 74
37.82 deg, rel. 31
40.31 deg, rel. 31
40.87 deg, rel. 30
51.92 deg, rel. 22
56.90 deg, rel. 18
58.75 deg, rel. 20

Structural model:
a b c (Å): 4.4158 4.4750 11.2320
angles (deg): 90.00 90.00 90.00
Fractional coordinates of all 8 atoms:
Sr (0.0000, 0.0000, 0.0000)
Sr (0.0000, 0.5000, 0.2789)
Sr (0.5000, 0.0000, 0.4950)
Sr (0.5000, 0.5000, 0.7736)
P (0.5000, 0.0000, 0.1899)
Pd (0.0000, 0.0000, 0.7113)
Pd (0.0000, 0.5000, 0.5602)
Pd (0.5000, 0.5000, 0.0954)

***

No. 6
Starting from a PBE-relaxed structure, the X-ray powder pattern of SrPPd3 was computed for copper Kα.
Neutral-atom scattering factors, no anomalous dispersion.

The 10 most intense peaks (2θ from 5° to 70°), sorted by position:
8.23 deg, rel. 19
33.37 deg, rel. 11
34.42 deg, rel. 100
36.23 deg, rel. 12
39.34 deg, rel. 10
42.83 deg, rel. 22
43.01 deg, rel. 22
43.59 deg, rel. 10
45.47 deg, rel. 15
62.31 deg, rel. 14

Structural model:
a b c (Å): 11.1451 11.1451 11.1451
angles (deg): 158.24 158.16 31.02
Fractional coordinates of all 10 atoms:
Sr (0.4136, 0.1636, 0.2500)
Sr (0.5864, 0.8364, 0.7500)
P (0.1512, 0.4012, 0.7500)
P (0.8488, 0.5988, 0.2500)
Pd (0.0411, 0.2911, 0.7500)
Pd (0.2035, 0.9535, 0.2500)
Pd (0.2960, 0.5460, 0.7500)
Pd (0.7040, 0.4540, 0.2500)
Pd (0.7965, 0.0465, 0.7500)
Pd (0.9589, 0.7089, 0.2500)

***

No. 7
Starting from a PBE-relaxed structure, the X-ray powder pattern of SrP2Pd6 was computed for copper Kα.
Neutral-atom scattering factors, no anomalous dispersion.

The 10 most intense peaks (2θ from 5° to 70°), sorted by position:
16.60 deg, rel. 31
23.06 deg, rel. 12
32.11 deg, rel. 18
33.56 deg, rel. 100
36.35 deg, rel. 24
43.77 deg, rel. 25
47.13 deg, rel. 52
56.26 deg, rel. 13
60.00 deg, rel. 23
69.70 deg, rel. 12

Structural model:
a b c (Å): 6.1671 6.1671 5.5759
angles (deg): 90.00 90.00 120.00
Fractional coordinates of all 9 atoms:
Sr (0.0000, 0.0000, 0.0000)
P (0.3333, 0.6667, 0.5000)
P (0.6667, 0.3333, 0.5000)
Pd (0.0000, 0.5000, 0.2413)
Pd (0.0000, 0.5000, 0.7587)
Pd (0.5000, 0.0000, 0.2413)
Pd (0.5000, 0.0000, 0.7587)
Pd (0.5000, 0.5000, 0.2413)
Pd (0.5000, 0.5000, 0.7587)

***

No. 8
Starting from a PBE-relaxed structure, the X-ray powder pattern of Sr3P3Pd2 was computed for copper Kα.
Neutral-atom scattering factors, no anomalous dispersion.

The 10 most intense peaks (2θ from 5° to 70°), sorted by position:
16.92 deg, rel. 29
22.83 deg, rel. 20
32.00 deg, rel. 67
32.17 deg, rel. 100
34.54 deg, rel. 23
39.67 deg, rel. 30
39.82 deg, rel. 27
42.45 deg, rel. 31
43.48 deg, rel. 19
47.79 deg, rel. 17

Structural model:
a b c (Å): 5.9560 5.9560 15.5825
angles (deg): 90.00 90.00 138.11
Fractional coordinates of all 16 atoms:
Sr (0.0557, 0.9443, 0.7500)
Sr (0.3478, 0.6522, 0.5944)
Sr (0.3478, 0.6522, 0.9056)
Sr (0.6522, 0.3478, 0.0944)
Sr (0.6522, 0.3478, 0.4056)
Sr (0.9443, 0.0557, 0.2500)
P (0.0690, 0.9310, 0.5529)
P (0.0690, 0.9310, 0.9471)
P (0.2365, 0.7635, 0.2500)
P (0.7635, 0.2365, 0.7500)
P (0.9310, 0.0690, 0.0529)
P (0.9310, 0.0690, 0.4471)
Pd (0.3650, 0.6350, 0.1167)
Pd (0.3650, 0.6350, 0.3833)
Pd (0.6350, 0.3650, 0.6167)
Pd (0.6350, 0.3650, 0.8833)